1.
Structure and computed X-ray powder pattern of Li3Mn4B4O12 (a PBE+U-relaxed structure; Cu Kα (λ = 1.5418 Å)).
Kinematic intensities with the Lorentz-polarization factor, no thermal factor.

Cell and atoms:
Lattice parameters (Å, degrees): 5.218 5.892 9.169 76.25 89.88 67.59
Space group P1 (No. 1)
Inequivalent atoms, fractional coordinates:
Li (0.000, 0.000, 0.000) x1
Li (0.011, 0.635, 0.880) x1
Li (0.500, 0.668, 0.374) x1
Mn (0.021, 0.571, 0.569) x1
Mn (0.474, 0.074, 0.796) x1
Mn (0.534, 0.563, 0.063) x1
Mn (0.968, 0.083, 0.313) x1
B (0.023, 0.580, 0.230) x1
B (0.478, 0.063, 0.138) x1
B (0.530, 0.576, 0.721) x1
B (0.987, 0.055, 0.651) x1
O (0.113, 0.618, 0.088) x1
O (0.129, 0.642, 0.348) x1
O (0.152, 0.197, 0.614) x1
O (0.308, 0.495, 0.748) x1
O (0.375, 0.031, 0.274) x1
O (0.378, 0.999, 0.018) x1
O (0.632, 0.647, 0.835) x1
O (0.634, 0.586, 0.584) x1
O (0.696, 0.150, 0.115) x1
O (0.805, 0.495, 0.256) x1
O (0.896, 0.015, 0.792) x1
O (0.938, 0.940, 0.543) x1

Largest 8 diffraction maxima, low angle first, 2θ from 10° to 80°:
two_theta  intensity
20.15  58
20.80  16
21.91  31
22.68  46
34.04  100
37.47  16
39.83  18
40.72  23

=====

2.
Structure and computed X-ray powder pattern of KHfInWO6 (a PBE+U-relaxed structure; Cu Kα (λ = 1.5418 Å)).
Kinematic intensities with the Lorentz-polarization factor, no thermal factor.

Cell and atoms:
Lattice parameters (Å, degrees): 8.137 8.137 8.137 90.00 90.00 90.00
Space group F-43m (No. 216)
Inequivalent atoms, fractional coordinates:
K (0.000, 0.000, 0.000) x4
Hf (0.250, 0.250, 0.750) x4
In (0.000, 0.000, 0.500) x4
W (0.250, 0.250, 0.250) x4
O (0.009, 0.250, 0.250) x24

Largest 8 diffraction maxima, low angle first, 2θ from 10° to 80°:
two_theta  intensity
21.84  28
31.09  100
44.54  29
50.14  13
55.31  40
64.81  18
69.28  6
73.62  17

=====

3.
Structure and computed X-ray powder pattern of Mn12O7F17 (a PBE+U-relaxed structure; Cu Kα (λ = 1.5418 Å)).
Kinematic intensities with the Lorentz-polarization factor, no thermal factor.

Cell and atoms:
Lattice parameters (Å, degrees): 4.909 5.574 16.114 96.69 90.31 93.36
Space group P1 (No. 1)
Inequivalent atoms, fractional coordinates:
Mn (0.000, 0.000, 0.000) x1
Mn (0.004, 0.885, 0.676) x1
Mn (0.389, 0.899, 0.206) x1
Mn (0.430, 0.401, 0.338) x1
Mn (0.447, 0.369, 0.676) x1
Mn (0.484, 0.029, 0.512) x1
Mn (0.489, 0.071, 0.847) x1
Mn (0.493, 0.478, 0.006) x1
Mn (0.936, 0.514, 0.490) x1
Mn (0.960, 0.862, 0.340) x1
Mn (0.986, 0.642, 0.838) x1
Mn (0.992, 0.403, 0.185) x1
O (0.190, 0.116, 0.294) x1
O (0.202, 0.864, 0.780) x1
O (0.217, 0.632, 0.282) x1
O (0.264, 0.088, 0.622) x1
O (0.302, 0.175, 0.952) x1
O (0.729, 0.614, 0.386) x1
O (0.801, 0.904, 0.895) x1
F (0.186, 0.082, 0.114) x1
F (0.198, 0.805, 0.452) x1
F (0.202, 0.578, 0.615) x1
F (0.213, 0.378, 0.783) x1
F (0.233, 0.674, 0.946) x1
F (0.274, 0.592, 0.114) x1
F (0.289, 0.325, 0.456) x1
F (0.651, 0.244, 0.234) x1
F (0.685, 0.124, 0.736) x1
F (0.712, 0.323, 0.575) x1
F (0.724, 0.629, 0.724) x1
F (0.730, 0.408, 0.888) x1
F (0.730, 0.781, 0.047) x1
F (0.746, 0.111, 0.410) x1
F (0.762, 0.756, 0.219) x1
F (0.770, 0.822, 0.570) x1
F (0.777, 0.301, 0.064) x1

Largest 8 diffraction maxima, low angle first, 2θ from 10° to 80°:
two_theta  intensity
23.54  24
27.95  100
28.94  63
29.92  70
31.35  53
33.60  30
50.25  38
50.92  30